Th3Tc2Ge3: theoretical powder X-ray diffraction pattern (CuKα), based on the GGA-PBE geometry in Alexandria.

Peak list (10 most intense, 2θ = 10–80°, by intensity)
2θ = 32.36°, rel. 100, hkl 2 4 0; 2θ = 36.02°, rel. 79, hkl 3 0 1; 2θ = 33.30°, rel. 67, hkl 1 1 2; 2θ = 37.55°, rel. 62, hkl 1 3 2; 2θ = 30.53°, rel. 44, hkl 1 4 1; 2θ = 54.68°, rel. 35, hkl 1 7 2; 2θ = 32.74°, rel. 32, hkl 1 0 2; 2θ = 27.15°, rel. 30, hkl 2 1 1; 2θ = 36.22°, rel. 30, hkl 0 6 0; 2θ = 58.28°, rel. 29, hkl 2 4 3

Structure:
```
data_Th3Tc2Ge3
_space_group_name_H-M_alt 'P n m a'
_space_group_IT_number 62
_cell_length_a 8.2737
_cell_length_b 14.8809
_cell_length_c 5.7967
_cell_angle_alpha 90.00
_cell_angle_beta 90.00
_cell_angle_gamma 90.00
loop_
_space_group_symop_operation_xyz
'x,y,z'
'-x,-y,-z'
'-x+1/2,-y,z+1/2'
'x+1/2,y,-z+1/2'
'x+1/2,-y+1/2,-z+1/2'
'-x+1/2,y+1/2,z+1/2'
'-x,y+1/2,-z'
'x,-y+1/2,z'
loop_
_atom_site_label
_atom_site_type_symbol
_atom_site_fract_x
_atom_site_fract_y
_atom_site_fract_z
Th1 Th 0.0343 0.1124 0.1107
Th2 Th 0.1819 0.2500 0.6228
Tc1 Tc 0.0740 0.5955 0.4029
Ge1 Ge 0.1691 0.7500 0.6014
Ge2 Ge 0.2049 0.0374 0.6315
```